NpU3Si2: calculated XRD peak list (Cu Kα (λ = 1.5418 Å)), based on a DFT-relaxed cell (GGA-PBE, Alexandria).
No peak broadening, texture or thermal motion is included.

The 6 most intense peaks (5° ≤ 2θ ≤ 70°), sorted by position:
- d = 3.892 Å, 22.85°, intensity 53.4
- d = 2.590 Å, 34.63°, intensity 79.1
- d = 2.554 Å, 35.14°, intensity 100.0
- d = 2.437 Å, 36.89°, intensity 47.9
- d = 2.290 Å, 39.35°, intensity 61.4
- d = 1.716 Å, 53.40°, intensity 47.3

Structural model:
Lattice parameters (Å, degrees): 5.2174 5.2174 6.5801 123.64 123.64 52.07
Fractional coordinates of all 6 atoms:
Np 0.0000 0.0000 0.0000
U 0.0894 0.0894 0.4785
U 0.6304 0.6304 0.9889
U 0.7505 0.7505 0.5326
Si 0.3483 0.3483 0.0508
Si 0.3814 0.3814 0.4396